Structure and simulated powder diffractogram of Pr4Ga12Ru (a crystal structure in Alexandria, relaxed with PBE; copper Kα).
Kinematic intensities with the Lorentz-polarization factor, no thermal factor.

Cell and atoms:
abc: 7.651 7.651 7.651
angles: 109.47 109.47 109.47
Sites, in units of the cell vectors:
Pr: 0.000 0.000 0.500
Pr: 0.000 0.500 0.000
Pr: 0.500 0.000 0.000
Pr: 0.500 0.500 0.500
Ga: 0.000 0.289 0.289
Ga: 0.000 0.711 0.711
Ga: 0.250 0.500 0.750
Ga: 0.250 0.750 0.500
Ga: 0.289 0.000 0.289
Ga: 0.289 0.289 0.000
Ga: 0.500 0.250 0.750
Ga: 0.500 0.750 0.250
Ga: 0.711 0.000 0.711
Ga: 0.711 0.711 0.000
Ga: 0.750 0.250 0.500
Ga: 0.750 0.500 0.250
Ru: 0.000 0.000 0.000

Peak list (12 most intense, 10° ≤ 2θ ≤ 80°, low angle first)
d_spacing, 2θ/deg, Rel. int.
3.124, 28.58, 26
2.794, 32.04, 6
2.550, 35.19, 100
2.361, 38.11, 10
2.209, 40.86, 65
1.884, 48.32, 7
1.803, 50.61, 8
1.562, 59.16, 39
1.397, 66.99, 7
1.332, 70.73, 31
1.275, 74.39, 12
1.202, 79.76, 5